# 1
Theoretical X-ray diffraction stick pattern
Compound: CeSm3Ho6Tm2
Radiation: Cu Kα (λ = 1.5418 Å)
Structure: a structure optimized by DFT (PBE)
Kinematic intensities with the Lorentz-polarization factor, no thermal factor.

```
CeSm3Ho6Tm2
1.0
3.0717 -5.3181 0.0000
3.0717 5.3181 0.0000
-2.0460 0.0000 11.5593
Ce Sm Ho Tm
1 3 6 2
Cartesian
0.0000 0.0000 0.0000
2.0487 3.5352 5.7796
2.0487 0.0000 5.7796
2.0487 -3.5352 5.7796
1.0209 1.7620 2.8533
-0.0114 0.0000 8.7036
1.0209 -1.7620 2.8533
3.0766 1.7620 8.7060
4.1089 0.0000 2.8556
3.0766 -1.7620 8.7060
3.0717 1.7730 0.0000
3.0717 -1.7730 0.0000
```

Top 6 peaks for 2θ from 10° to 90°, in order of falling intensity:
two_theta  intensity
30.90  1000
35.83  506
51.58  359
61.33  320
61.41  106
64.37  92



# 2
Theoretical X-ray diffraction stick pattern
Compound: Pm7ZnPb2
Radiation: Cu Kα (λ = 1.5418 Å)
Structure: a structure optimized by DFT (PBE)
Kinematic intensities with the Lorentz-polarization factor, no thermal factor.

```
Pm7ZnPb2
1.0
0.0000 5.5458 5.5458
5.5458 0.0000 5.5458
5.5458 5.5458 0.0000
Pm Zn Pb
7 1 2
Cartesian
0.0000 0.0000 0.0000
5.5458 5.5458 2.8268
5.5458 2.8268 5.5458
8.2648 5.5458 5.5458
2.8268 5.5458 5.5458
5.5458 8.2648 5.5458
5.5458 5.5458 8.2648
5.5458 5.5458 5.5458
2.7729 2.7729 2.7729
8.3188 8.3188 8.3188
```

Top 6 peaks for 2θ from 10° to 90°, in order of falling intensity:
two_theta  intensity
32.28  1000
27.86  981
46.30  737
54.91  451
76.88  330
57.57  257



# 3
Theoretical X-ray diffraction stick pattern
Compound: MgPa2SnN5
Radiation: Cu Kα (λ = 1.5418 Å)
Structure: a structure optimized by DFT (PBE)
Kinematic intensities with the Lorentz-polarization factor, no thermal factor.

```
MgPa2SnN5
1.0
1.7544 -6.4730 0.0000
1.7544 6.4730 0.0000
0.0000 0.0000 11.2143
Mg Pa Sn N
2 4 2 10
Cartesian
1.7544 6.0395 5.6071
1.7544 -6.0395 0.0000
1.7544 1.9817 3.4773
1.7544 1.0735 7.9735
1.7544 -1.0735 2.3664
1.7544 -1.9817 9.0844
1.7544 2.8931 0.4479
1.7544 -2.8931 6.0550
1.7544 6.2037 9.1860
1.7544 4.9647 0.9793
1.7544 3.8700 4.8633
1.7544 3.4291 8.1597
1.7544 0.8588 1.2085
1.7544 -0.8588 6.8156
1.7544 -3.4291 2.5526
1.7544 -3.8700 10.4705
1.7544 -4.9647 6.5864
1.7544 -6.2037 3.5789
```

Top 6 peaks for 2θ from 10° to 90°, in order of falling intensity:
two_theta  intensity
27.55  1000
35.78  738
15.81  728
30.84  667
28.71  614
26.32  613



# 4
Theoretical X-ray diffraction stick pattern
Compound: CuHPd4
Radiation: Cu Kα (λ = 1.5418 Å)
Structure: a structure optimized by DFT (PBE)
Kinematic intensities with the Lorentz-polarization factor, no thermal factor.

```
CuHPd4
1.0
4.7322 0.0000 0.0000
-0.0046 4.7969 0.0000
-0.5675 -2.3919 6.9297
Cu H Pd
2 2 8
Cartesian
1.1776 1.6430 0.0020
2.9825 0.7619 6.9278
-0.2861 1.2025 3.4649
2.0824 -1.1960 3.4649
0.6862 -0.7493 4.2832
0.6574 1.6392 5.6075
1.1334 4.0412 1.3270
1.1086 1.6514 2.6506
3.0515 0.7535 4.2791
3.0267 -1.6363 5.6027
3.5027 0.7658 1.3223
3.4739 3.1543 2.6465
```

Top 6 peaks for 2θ from 10° to 90°, in order of falling intensity:
two_theta  intensity
42.27  1000
40.97  819
43.51  780
38.16  748
37.48  631
67.63  389



# 5
Theoretical X-ray diffraction stick pattern
Compound: Ac2ErSn5
Radiation: Cu Kα (λ = 1.5418 Å)
Structure: a structure optimized by DFT (PBE)
Kinematic intensities with the Lorentz-polarization factor, no thermal factor.

```
Ac2ErSn5
1.0
-3.7152 3.7152 4.3572
3.7152 -3.7152 4.3572
3.7152 3.7152 -4.3572
Ac Er Sn
2 1 5
Cartesian
3.7152 0.0000 0.0000
0.0000 3.7152 0.0000
0.0000 0.0000 0.9248
0.0000 0.0000 4.3000
2.1229 2.1229 2.2332
1.5923 -1.5923 6.5904
-1.5923 1.5923 6.5904
1.5923 1.5923 6.5904
```

Top 6 peaks for 2θ from 10° to 90°, in order of falling intensity:
two_theta  intensity
31.65  1000
34.13  466
59.55  245
26.58  160
49.04  145
54.74  131



# 6
Theoretical X-ray diffraction stick pattern
Compound: Pm5Dy4Er3
Radiation: Cu Kα (λ = 1.5418 Å)
Structure: a structure optimized by DFT (PBE)
Kinematic intensities with the Lorentz-polarization factor, no thermal factor.

```
Pm5Dy4Er3
1.0
8.0076 -2.9706 0.0000
8.0076 2.9706 0.0000
-4.1101 0.0000 8.3305
Pm Dy Er
5 4 3
Cartesian
0.0000 0.0000 0.0000
2.3846 0.0000 1.9072
2.7688 0.0000 5.1083
9.1363 0.0000 3.2223
9.5205 0.0000 6.4234
-0.5201 0.0000 3.7067
-0.1982 0.0000 7.3143
12.1032 0.0000 1.0162
12.4252 0.0000 4.6238
5.5968 0.0000 2.4997
8.0076 0.0000 0.0000
6.3082 0.0000 5.8308
```

Top 6 peaks for 2θ from 10° to 90°, in order of falling intensity:
two_theta  intensity
30.08  1000
32.68  770
33.61  632
31.89  466
29.43  389
31.18  368